[1]
This entry pairs a crystal structure of Rb2TaTcCl6 with its theoretical XRD peak list. Radiation: CuKα. Structure: a structure optimized by DFT (PBE).

Most intense lines, 15 to 90 degrees two-theta, by intensity:
d (Å)	I_rel
3.430	100
2.612	75
3.693	60
2.078	51
1.715	40
5.223	32
1.847	25
2.273	25

Structural model:
```
data_Rb2TaTcCl6
_space_group_name_H-M_alt 'I 4/m m m'
_space_group_IT_number 139
_space_group_name_Hall '-I 4 2'
_cell_length_a 7.387
_cell_length_b 7.387
_cell_length_c 9.094
_cell_angle_alpha 90.00
_cell_angle_beta 90.00
_cell_angle_gamma 90.00
loop_
_atom_site_label
_atom_site_type_symbol
_atom_site_fract_x
_atom_site_fract_y
_atom_site_fract_z
_atom_site_occupancy
Rb1 Rb 0.000 0.500 0.250 1
Ta1 Ta 0.000 0.000 0.000 1
Tc1 Tc 0.000 0.000 0.500 1
Cl1 Cl 0.000 0.000 0.252 1
Cl2 Cl 0.245 0.245 0.000 1
```

=====

[2]
This entry pairs a crystal structure of RbTb2Cl8 with its theoretical XRD peak list. Radiation: CuKα. Structure: a structure optimized by DFT (PBE).

Most intense lines, 15 to 90 degrees two-theta, by intensity:
d (Å)	I_rel
4.868	100
5.087	85
4.209	77
2.540	57
2.884	45
2.257	43
2.374	38
2.911	36

Structural model:
```
data_RbTb2Cl8
_space_group_name_H-M_alt 'C 1 2/m 1'
_space_group_IT_number 12
_space_group_name_Hall '-C 2y'
_cell_length_a 11.244
_cell_length_b 8.417
_cell_length_c 8.350
_cell_angle_alpha 90.00
_cell_angle_beta 102.33
_cell_angle_gamma 90.00
loop_
_atom_site_label
_atom_site_type_symbol
_atom_site_fract_x
_atom_site_fract_y
_atom_site_fract_z
_atom_site_occupancy
Rb1 Rb 0.000 0.000 0.000 1
Tb1 Tb 0.178 0.500 0.462 1
Cl1 Cl 0.059 0.500 0.707 1
Cl2 Cl 0.147 0.191 0.345 1
Cl3 Cl 0.227 0.000 0.801 1
```

=====

[3]
This entry pairs a crystal structure of RbTb2Cl8 with its theoretical XRD peak list. Radiation: CuKα. Structure: a structure optimized by DFT (PBE).

Most intense lines, 15 to 90 degrees two-theta, by intensity:
d (Å)	I_rel
4.232	100
5.257	55
4.171	54
2.336	45
2.200	39
4.020	39
1.772	36
2.969	34

Structural model:
```
data_RbTb2Cl8
_space_group_name_H-M_alt 'C m m m'
_space_group_IT_number 65
_space_group_name_Hall '-C 2 2'
_cell_length_a 8.452
_cell_length_b 13.708
_cell_length_c 5.257
_cell_angle_alpha 90.00
_cell_angle_beta 90.00
_cell_angle_gamma 90.00
loop_
_atom_site_label
_atom_site_type_symbol
_atom_site_fract_x
_atom_site_fract_y
_atom_site_fract_z
_atom_site_occupancy
Rb1 Rb 0.000 0.000 0.000 1
Tb1 Tb 0.000 0.304 0.500 1
Cl1 Cl 0.000 0.263 0.000 1
Cl2 Cl 0.000 0.500 0.249 1
Cl3 Cl 0.193 0.138 0.500 1
```

=====

[4]
This entry pairs a crystal structure of Rb3TcCl6 with its theoretical XRD peak list. Radiation: CuKα. Structure: a structure optimized by DFT (PBE).

Most intense lines, 15 to 90 degrees two-theta, by intensity:
d (Å)	I_rel
4.017	100
2.800	91
2.835	68
4.454	55
3.649	52
3.951	45
2.406	43
5.040	37

Structural model:
```
data_Rb3TcCl6
_space_group_name_H-M_alt 'R -3'
_space_group_IT_number 148
_space_group_name_Hall '-R 3'
_cell_length_a 12.7299
_cell_length_b 12.7299
_cell_length_c 15.1198
_cell_angle_alpha 90.00
_cell_angle_beta 90.00
_cell_angle_gamma 120.00
loop_
_atom_site_label
_atom_site_type_symbol
_atom_site_fract_x
_atom_site_fract_y
_atom_site_fract_z
_atom_site_occupancy
Rb1 Rb 0.0460 0.2716 0.2044 1
Tc1 Tc 0.0000 0.0000 0.0000 1
Tc2 Tc 0.0000 0.0000 0.5000 1
Cl1 Cl 0.0148 0.1639 0.4081 1
Cl2 Cl 0.0294 0.1700 0.9084 1
```

=====

[5]
This entry pairs a crystal structure of Rb3TcCl8 with its theoretical XRD peak list. Radiation: CuKα. Structure: a structure optimized by DFT (PBE).

Most intense lines, 15 to 90 degrees two-theta, by intensity:
d (Å)	I_rel
3.877	100
3.096	81
2.486	45
2.171	36
2.445	35
4.455	31
2.732	30
1.658	23

Structural model:
```
data_Rb3TcCl8
_space_group_name_H-M_alt 'P 63 m c'
_space_group_IT_number 186
_space_group_name_Hall 'P 6c -2c'
_cell_length_a 9.9438
_cell_length_b 9.9438
_cell_length_c 8.9109
_cell_angle_alpha 90.00
_cell_angle_beta 90.00
_cell_angle_gamma 120.00
loop_
_atom_site_label
_atom_site_type_symbol
_atom_site_fract_x
_atom_site_fract_y
_atom_site_fract_z
_atom_site_occupancy
Rb1 Rb 0.1517 0.3034 0.0000 1
Tc1 Tc 0.3333 0.6667 0.4413 1
Cl1 Cl 0.0000 0.0000 0.2556 1
Cl2 Cl 0.1120 0.5560 0.2899 1
Cl3 Cl 0.2216 0.4431 0.5953 1
Cl4 Cl 0.3333 0.6667 0.9478 1
```

=====

[6]
This entry pairs a crystal structure of Rb2TcWCl6 with its theoretical XRD peak list. Radiation: CuKα. Structure: a structure optimized by DFT (PBE).

Most intense lines, 15 to 90 degrees two-theta, by intensity:
d (Å)	I_rel
3.484	100
2.711	77
3.834	64
2.139	51
1.742	42
5.422	35
1.917	26
2.273	25

Structural model:
```
data_Rb2TcWCl6
_space_group_name_H-M_alt 'I 4/m m m'
_space_group_IT_number 139
_space_group_name_Hall '-I 4 2'
_cell_length_a 7.667
_cell_length_b 7.667
_cell_length_c 9.094
_cell_angle_alpha 90.00
_cell_angle_beta 90.00
_cell_angle_gamma 90.00
loop_
_atom_site_label
_atom_site_type_symbol
_atom_site_fract_x
_atom_site_fract_y
_atom_site_fract_z
_atom_site_occupancy
Rb1 Rb 0.000 0.500 0.250 1
Tc1 Tc 0.000 0.000 0.000 1
W1 W 0.000 0.000 0.500 1
Cl1 Cl 0.000 0.000 0.249 1
Cl2 Cl 0.230 0.230 0.500 1
```